# Li2MnO2F
Computed powder XRD pattern, Cu Kα. Input: a cell relaxed with GGA+U.
Lines closer than 0.1° are merged.

Atomic structure:
a b c (Å): 5.6270 8.5633 4.8899
angles (deg): 90.00 90.00 90.00
Fractional positions:
1 Li 0.1275 0.0771 0.2019
2 Li 0.1275 0.4229 0.2019
3 Li 0.3725 0.5771 0.7019
4 Li 0.3725 0.9229 0.7019
5 Li 0.6275 0.0771 0.2981
6 Li 0.6275 0.4229 0.2981
7 Li 0.8725 0.5771 0.7981
8 Li 0.8725 0.9229 0.7981
9 Mn 0.1264 0.7500 0.2458
10 Mn 0.3736 0.2500 0.7458
11 Mn 0.6264 0.7500 0.2542
12 Mn 0.8736 0.2500 0.7542
13 O 0.1243 0.0962 0.7771
14 O 0.1243 0.4038 0.7771
15 O 0.3757 0.5962 0.2771
16 O 0.3757 0.9038 0.2771
17 O 0.6243 0.0962 0.7229
18 O 0.6243 0.4038 0.7229
19 O 0.8757 0.5962 0.2229
20 O 0.8757 0.9038 0.2229
21 F 0.1341 0.7500 0.7626
22 F 0.3659 0.2500 0.2626
23 F 0.6341 0.7500 0.7374
24 F 0.8659 0.2500 0.2374

Peak list (10 most intense, 2θ from 15° to 90°, low angle first)
| (hkl) | two_theta | Rel. int. |
| --- | --- | --- |
| 0 2 0 | 20.75 | 66.4 |
| 0 1 1 | 20.92 | 100.0 |
| 2 1 0 | 33.53 | 30.3 |
| 0 0 2 | 36.76 | 58.6 |
| 0 2 2 | 42.63 | 39.6 |
| 2 3 0 | 45.25 | 61.1 |
| 2 1 2 | 50.60 | 18.6 |
| 2 4 1 | 57.24 | 18.7 |
| 2 3 2 | 59.66 | 43.3 |
| 0 6 2 | 77.44 | 9.6 |